No. 1
# RbIn9Au2
Theoretical X-ray diffraction stick pattern, Cu Kα (λ = 1.5418 Å). Input: the PBE geometry in Alexandria.
Kinematic intensities with the Lorentz-polarization factor, no thermal factor.

Crystal structure
```
data_RbIn9Au2
_chemical_formula_sum 'Rb4 In36 Au8'
_cell_length_a 12.385
_cell_length_b 12.385
_cell_length_c 8.521
_cell_angle_alpha 90.00
_cell_angle_beta 90.00
_cell_angle_gamma 90.00
_symmetry_space_group_name_H-M 'I 41/a m d'
_symmetry_Int_Tables_number 141
loop_
_symmetry_equiv_pos_as_xyz
'x,y,z'
'-x,-y,-z'
'-y+1/4,x+3/4,z+1/4'
'y+1/4,-x+3/4,-z+1/4'
'-x+1/2,-y,z+1/2'
'x+1/2,y,-z+1/2'
'y+1/4,-x+1/4,z+3/4'
'-y+1/4,x+1/4,-z+3/4'
'x,-y,-z'
'-x,y,z'
'-y+1/4,-x+1/4,-z+3/4'
'y+1/4,x+1/4,z+3/4'
'-x+1/2,y,-z+1/2'
'x+1/2,-y,z+1/2'
'y+1/4,x+3/4,-z+1/4'
'-y+1/4,-x+3/4,z+1/4'
'x+1/2,y+1/2,z+1/2'
'-x+1/2,-y+1/2,-z+1/2'
'-y+3/4,x+1/4,z+3/4'
'y+3/4,-x+1/4,-z+3/4'
'-x,-y+1/2,z'
'x,y+1/2,-z'
'y+3/4,-x+3/4,z+1/4'
'-y+3/4,x+3/4,-z+1/4'
'x+1/2,-y+1/2,-z+1/2'
'-x+1/2,y+1/2,z+1/2'
'-y+3/4,-x+3/4,-z+1/4'
'y+3/4,x+3/4,z+1/4'
'-x,y+1/2,-z'
'x,-y+1/2,z'
'y+3/4,x+1/4,-z+3/4'
'-y+3/4,-x+1/4,z+3/4'
loop_
_atom_site_label
_atom_site_type_symbol
_atom_site_fract_x
_atom_site_fract_y
_atom_site_fract_z
Rb1 Rb 0.000 0.250 0.375
In1 In 0.000 0.250 0.875
In2 In 0.123 0.056 0.676
Au1 Au 0.000 0.000 0.000
```

The 12 most intense peaks (2θ = 10–80°), by angle:
index	2θ/deg	d/Å	I (rel.)
1 0 1	12.61	7.020	455
3 2 1	28.01	3.186	281
3 1 2	31.02	2.883	705
4 2 0	32.33	2.769	678
2 1 3	35.52	2.527	387
5 0 1	37.82	2.379	1000
4 2 2	38.78	2.322	510
2 2 4	47.46	1.916	138
5 5 2	56.83	1.620	157
8 1 1	61.32	1.512	164
5 3 4	61.67	1.504	122
8 4 0	67.67	1.385	279

---

No. 2
# RbIn4Au9
Theoretical X-ray diffraction stick pattern, Cu Kα (λ = 1.5418 Å). Input: the PBE geometry in Alexandria.
Kinematic intensities with the Lorentz-polarization factor, no thermal factor.

Crystal structure
```
data_RbIn4Au9
_chemical_formula_sum 'Rb4 In16 Au36'
_cell_length_a 9.690
_cell_length_b 9.690
_cell_length_c 13.287
_cell_angle_alpha 90.00
_cell_angle_beta 90.00
_cell_angle_gamma 90.00
_symmetry_space_group_name_H-M 'I 4/m c m'
_symmetry_Int_Tables_number 140
_symmetry_space_group_name_Hall '-I 4 2c'
loop_
_atom_site_label
_atom_site_type_symbol
_atom_site_fract_x
_atom_site_fract_y
_atom_site_fract_z
Rb1 Rb 0.000 0.000 0.250
In1 In 0.189 0.311 0.120
Au1 Au 0.000 0.500 0.000
Au2 Au 0.042 0.202 0.500
Au3 Au 0.118 0.382 0.318
```

The 12 most intense peaks (2θ = 10–80°), by angle:
index	2θ/deg	d/Å	I (rel.)
1 1 0	12.92	6.852	533
0 0 2	13.33	6.644	286
3 1 2	32.17	2.782	959
2 0 4	32.69	2.740	339
4 1 1	38.92	2.314	663
3 2 3	39.21	2.298	1000
3 3 0	39.46	2.284	397
4 0 2	39.60	2.276	476
2 1 5	39.79	2.265	700
3 1 4	40.03	2.252	289
6 1 3	61.90	1.499	266
4 0 8	68.49	1.370	290

---

No. 3
# RbIn3Au2
Theoretical X-ray diffraction stick pattern, Cu Kα (λ = 1.5418 Å). Input: the PBE geometry in Alexandria.
Kinematic intensities with the Lorentz-polarization factor, no thermal factor.

Crystal structure
```
data_RbIn3Au2
_chemical_formula_sum 'Rb4 In12 Au8'
_cell_length_a 12.228
_cell_length_b 9.431
_cell_length_c 5.750
_cell_angle_alpha 90.00
_cell_angle_beta 90.00
_cell_angle_gamma 90.00
_symmetry_space_group_name_H-M 'C m c m'
_symmetry_Int_Tables_number 63
_symmetry_space_group_name_Hall '-C 2c 2'
loop_
_atom_site_label
_atom_site_type_symbol
_atom_site_fract_x
_atom_site_fract_y
_atom_site_fract_z
Rb1 Rb 0.000 0.149 0.250
In1 In 0.000 0.439 0.750
In2 In 0.188 0.234 0.750
Au1 Au 0.228 0.500 0.000
```

The 12 most intense peaks (2θ = 10–80°), by angle:
index	2θ/deg	d/Å	I (rel.)
1 1 0	11.85	7.468	263
2 0 0	14.49	6.114	905
0 2 0	18.82	4.716	213
3 1 1	28.48	3.134	646
4 0 0	29.21	3.057	453
2 0 2	34.47	2.602	351
4 2 0	34.98	2.565	297
0 2 2	36.61	2.455	549
0 4 0	38.17	2.358	227
3 3 1	39.48	2.282	384
2 2 2	39.56	2.278	1000
2 4 0	41.03	2.200	446

---

No. 4
# RbIn2Au4
Theoretical X-ray diffraction stick pattern, Cu Kα (λ = 1.5418 Å). Input: the PBE geometry in Alexandria.
Kinematic intensities with the Lorentz-polarization factor, no thermal factor.

Crystal structure
```
data_RbIn2Au4
_chemical_formula_sum 'Rb4 In8 Au16'
_cell_length_a 9.059
_cell_length_b 9.059
_cell_length_c 8.402
_cell_angle_alpha 90.00
_cell_angle_beta 90.00
_cell_angle_gamma 90.00
_symmetry_space_group_name_H-M 'I 4/m c m'
_symmetry_Int_Tables_number 140
_symmetry_space_group_name_Hall '-I 4 2c'
loop_
_atom_site_label
_atom_site_type_symbol
_atom_site_fract_x
_atom_site_fract_y
_atom_site_fract_z
Rb1 Rb 0.000 0.000 0.250
In1 In 0.141 0.359 0.000
Au1 Au 0.152 0.348 0.335
```

The 12 most intense peaks (2θ = 10–80°), by angle:
index	2θ/deg	d/Å	I (rel.)
1 1 0	13.82	6.406	355
2 0 0	19.60	4.530	112
2 1 1	24.39	3.649	89
3 1 0	31.22	2.865	636
2 1 3	39.10	2.304	1000
4 0 0	39.80	2.265	213
3 3 0	42.33	2.135	224
3 2 3	48.69	1.870	82
4 1 3	52.97	1.729	154
6 0 0	61.41	1.510	86
5 2 3	64.63	1.442	344
5 4 3	75.25	1.263	83